(1)
# Tl7VSe6
Simulated PXRD pattern, a wavelength of 1.5418 Å. Input: the GGA-PBE geometry in Alexandria.
Lines closer than 0.1° are merged.

Structural model:
```
data_Tl7VSe6
_chemical_formula_sum 'Tl28 V4 Se24'
_cell_length_a 7.8144
_cell_length_b 14.3430
_cell_length_c 17.5276
_cell_angle_alpha 90.00
_cell_angle_beta 90.00
_cell_angle_gamma 90.00
_space_group_name_H-M_alt 'I b a m'
_space_group_IT_number 72
_space_group_name_Hall '-I 2 2c'
loop_
_atom_site_label
_atom_site_type_symbol
_atom_site_fract_x
_atom_site_fract_y
_atom_site_fract_z
Tl1 Tl 0.0000 0.0000 0.2500
Tl2 Tl 0.1837 0.2879 0.1174
Tl3 Tl 0.2495 0.4795 0.5000
V1 V 0.0000 0.5000 0.2500
Se1 Se 0.0226 0.1677 0.5000
Se2 Se 0.1782 0.4100 0.3239
```

Main lines, in order of rising 2θ (2θ = 10–80°):
| 2θ/deg | I/Imax | index |
| --- | --- | --- |
| 22.8 | 20 | 2 0 0 |
| 23.8 | 100 | 0 2 4 |
| 24.1 | 40 | 1 1 4 |
| 27.9 | 88 | 1 4 1 |
| 30.0 | 19 | 2 3 1 |
| 30.6 | 38 | 2 0 4 |
| 33.2 | 30 | 2 2 4 |
| 34.9 | 22 | 2 1 5 |
| 35.5 | 30 | 2 4 2 |
| 40.6 | 30 | 2 2 6 |

***

(2)
# Tl4WSe
Simulated PXRD pattern, a wavelength of 1.5418 Å. Input: the GGA-PBE geometry in Alexandria.
Lines closer than 0.1° are merged.

Structural model:
```
data_Tl4WSe
_chemical_formula_sum 'Tl16 W4 Se4'
_cell_length_a 8.8753
_cell_length_b 8.8753
_cell_length_c 8.8753
_cell_angle_alpha 90.00
_cell_angle_beta 90.00
_cell_angle_gamma 90.00
_space_group_name_H-M_alt 'F -4 3 m'
_space_group_IT_number 216
_space_group_name_Hall 'F -4 2 3'
loop_
_atom_site_label
_atom_site_type_symbol
_atom_site_fract_x
_atom_site_fract_y
_atom_site_fract_z
Tl1 Tl 0.1250 0.1250 0.1250
W1 W 0.2500 0.2500 0.7500
Se1 Se 0.0000 0.0000 0.5000
```

Main lines, in order of rising 2θ (2θ = 10–80°):
| 2θ/deg | I/Imax | index |
| --- | --- | --- |
| 17.3 | 24 | 1 1 1 |
| 28.4 | 15 | 2 2 0 |
| 33.5 | 100 | 3 1 1 |
| 35.0 | 55 | 2 2 2 |
| 40.7 | 12 | 4 0 0 |
| 44.5 | 7 | 3 3 1 |
| 53.7 | 36 | 5 1 1 |
| 58.9 | 33 | 4 4 0 |
| 69.4 | 12 | 5 3 3 |
| 70.4 | 23 | 6 2 2 |

***

(3)
# TlW4Se8
Simulated PXRD pattern, a wavelength of 1.5418 Å. Input: the GGA-PBE geometry in Alexandria.
Lines closer than 0.1° are merged.

Structural model:
```
data_TlW4Se8
_chemical_formula_sum 'Tl2 W8 Se16'
_cell_length_a 17.7145
_cell_length_b 3.3817
_cell_length_c 12.3024
_cell_angle_alpha 90.00
_cell_angle_beta 130.52
_cell_angle_gamma 90.00
_space_group_name_H-M_alt 'C 1 m 1'
_space_group_IT_number 8
loop_
_space_group_symop_operation_xyz
'x,y,z'
'x,-y,z'
'x+1/2,y+1/2,z'
'x+1/2,-y+1/2,z'
loop_
_atom_site_label
_atom_site_type_symbol
_atom_site_fract_x
_atom_site_fract_y
_atom_site_fract_z
Tl1 Tl 0.0000 0.0000 0.0000
W1 W 0.1760 0.0000 0.4842
W2 W 0.1867 0.5000 0.8722
W3 W 0.3133 0.0000 0.1268
W4 W 0.3247 0.5000 0.5154
Se1 Se 0.0444 0.0000 0.7494
Se2 Se 0.1338 0.5000 0.5942
Se3 Se 0.1435 0.5000 0.3035
Se4 Se 0.1885 0.5000 0.0783
Se5 Se 0.3115 0.0000 0.9207
Se6 Se 0.3572 0.0000 0.6961
Se7 Se 0.3667 0.0000 0.4049
Se8 Se 0.4557 0.5000 0.2492
```

Main lines, in order of rising 2θ (2θ = 10–80°):
| 2θ/deg | I/Imax | index |
| --- | --- | --- |
| 13.1 | 48 | 2 0 0 |
| 14.4 | 54 | 2 0 -2 |
| 19.0 | 38 | 0 0 2 |
| 30.7 | 60 | 3 1 -1 |
| 33.2 | 59 | 3 1 0 |
| 34.4 | 46 | 3 1 -3 |
| 38.1 | 75 | 3 1 1 |
| 40.2 | 38 | 6 0 0 |
| 40.5 | 100 | 5 1 -4 |
| 51.5 | 49 | 1 1 4 |